# 1
For Pr3CoBr2, a PBE-relaxed structure gives the theoretical powder X-ray diffraction pattern in this record (Cu Kα).
Kinematic intensities with the Lorentz-polarization factor, no thermal factor.

Top 8 peaks for 2θ from 10° to 80°, sorted by position:
2θ/deg	I (rel.)	(hkl)
29.31	67	0 2 0
29.48	100	1 0 3
29.90	19	1 1 2
34.27	34	0 1 5
42.05	75	1 2 3
46.68	19	2 0 0
56.07	21	2 2 0
58.20	24	1 1 8

Crystal structure
```
data_Pr3CoBr2
_cell_length_a 3.892
_cell_length_b 6.094
_cell_length_c 14.485
_cell_angle_alpha 90.00
_cell_angle_beta 90.00
_cell_angle_gamma 90.00
_symmetry_space_group_name_H-M 'I m m m'
_symmetry_Int_Tables_number 71
_symmetry_space_group_name_Hall '-I 2 2'
loop_
_atom_site_label
_atom_site_fract_x
_atom_site_fract_y
_atom_site_fract_z
Pr1 0.000 0.000 0.000
Pr2 0.000 0.000 0.375
Co1 0.000 0.500 0.000
Br1 0.000 0.500 0.322
```

# 2
For MgPa2NbN6, a PBE-relaxed structure gives the theoretical powder X-ray diffraction pattern in this record (Cu Kα).
Kinematic intensities with the Lorentz-polarization factor, no thermal factor.

Top 8 peaks for 2θ from 10° to 80°, sorted by position:
2θ/deg	I (rel.)	(hkl)
21.82	91	0 1 2
30.49	100	1 0 4
31.61	92	1 1 0
38.74	23	2 0 2
44.49	40	0 2 4
49.32	37	2 -1 6
55.60	41	3 -1 4
56.30	25	3 0 0

Crystal structure
```
data_MgPa2NbN6
_cell_length_a 5.6609
_cell_length_b 5.6609
_cell_length_c 14.6342
_cell_angle_alpha 90.00
_cell_angle_beta 90.00
_cell_angle_gamma 120.00
_symmetry_space_group_name_H-M 'R 3'
_symmetry_Int_Tables_number 146
_symmetry_space_group_name_Hall 'R 3'
loop_
_atom_site_label
_atom_site_fract_x
_atom_site_fract_y
_atom_site_fract_z
Mg1 0.0000 0.0000 0.0000
Pa1 0.0000 0.0000 0.2842
Pa2 0.0000 0.0000 0.7810
Nb1 0.0000 0.0000 0.5020
N1 0.0513 0.3482 0.5563
N2 0.0541 0.6763 0.0602
```